(1)
The following is a computed X-ray powder pattern of Hf3InCu. It was derived from a structure optimized by DFT (PBE), using Cu Kα (weighted mean of Kα1 and Kα2).
Intensities are scaled so that the largest is 100.

Atomic structure:
```
Hf3InCu
1.0
6.8479 0.0000 0.0000
-3.4240 5.9305 0.0000
0.0000 0.0000 5.2724
Hf In Cu
6 2 2
Direct
0.1858 0.3717 0.2500
0.1858 0.8142 0.2500
0.3717 0.1858 0.7500
0.6283 0.8142 0.2500
0.8142 0.1858 0.7500
0.8142 0.6283 0.7500
0.3333 0.6667 0.7500
0.6667 0.3333 0.2500
0.0000 0.0000 0.0000
0.0000 0.0000 0.5000
```

Principal peaks in the range 10° ≤ 2θ ≤ 80°, by angle:
| Position (°2θ) | I (rel.) |
| --- | --- |
| 22.57 | 9 |
| 30.14 | 15 |
| 34.01 | 21 |
| 34.71 | 100 |
| 40.23 | 13 |
| 46.07 | 23 |
| 53.53 | 20 |
| 61.32 | 19 |
| 64.95 | 14 |
| 65.39 | 12 |

(2)
The following is a computed X-ray powder pattern of Ca2H5Pd2. It was derived from a structure optimized by DFT (PBE), using Cu Kα (weighted mean of Kα1 and Kα2).
Intensities are scaled so that the largest is 100.

Atomic structure:
```
Ca2H5Pd2
1.0
-2.6042 7.3924 2.6103
2.6042 -7.3924 2.6103
2.6042 7.3924 -2.6103
Ca H Pd
4 10 4
Direct
0.1291 0.0019 0.1272
0.3747 0.0019 0.3728
0.6253 0.9981 0.6272
0.8709 0.9981 0.8728
0.1052 0.4753 0.6299
0.2527 0.0000 0.7527
0.2527 0.5000 0.2527
0.3454 0.4753 0.8701
0.5000 0.0000 0.0000
0.5000 0.5000 0.5000
0.6546 0.5247 0.1299
0.7473 0.0000 0.2473
0.7473 0.5000 0.7473
0.8948 0.5247 0.3701
0.0000 0.5000 0.5000
0.2435 0.4935 0.7500
0.5000 0.5000 0.0000
0.7565 0.5065 0.2500
```

Principal peaks in the range 10° ≤ 2θ ≤ 80°, by angle:
| Position (°2θ) | I (rel.) |
| --- | --- |
| 24.12 | 25 |
| 34.37 | 100 |
| 42.43 | 7 |
| 49.31 | 6 |
| 49.44 | 12 |
| 55.68 | 9 |
| 61.52 | 23 |
| 61.64 | 12 |
| 72.41 | 9 |
| 77.62 | 2 |

(3)
The following is a computed X-ray powder pattern of RbBaH6Au3. It was derived from a structure optimized by DFT (PBE), using Cu Kα (weighted mean of Kα1 and Kα2).
Intensities are scaled so that the largest is 100.

Atomic structure:
```
RbBaH6Au3
1.0
3.8444 2.2195 4.8054
-3.8444 2.2195 4.8054
0.0000 -4.4391 4.8054
Rb Ba H Au
1 1 6 3
Direct
0.0000 0.0000 0.0000
0.5335 0.5335 0.5335
0.1079 0.8465 0.5670
0.3981 0.6072 0.9465
0.5670 0.1079 0.8465
0.6072 0.9465 0.3981
0.8465 0.5670 0.1079
0.9465 0.3981 0.6072
0.0116 0.6288 0.5953
0.5953 0.0116 0.6288
0.6288 0.5953 0.0116
```

Principal peaks in the range 10° ≤ 2θ ≤ 80°, by angle:
| Position (°2θ) | I (rel.) |
| --- | --- |
| 14.65 | 100 |
| 18.46 | 55 |
| 27.50 | 48 |
| 28.15 | 38 |
| 29.55 | 91 |
| 36.23 | 31 |
| 36.75 | 35 |
| 37.86 | 40 |
| 44.99 | 37 |
| 56.44 | 21 |

(4)
The following is a computed X-ray powder pattern of Pr2LuHg. It was derived from a structure optimized by DFT (PBE), using Cu Kα (weighted mean of Kα1 and Kα2).
Intensities are scaled so that the largest is 100.

Atomic structure:
```
Pr2LuHg
1.0
0.0000 3.9143 3.9143
3.9143 0.0000 3.9143
3.9143 3.9143 0.0000
Pr Lu Hg
2 1 1
Direct
0.2500 0.2500 0.2500
0.7500 0.7500 0.7500
0.0000 0.0000 0.0000
0.5000 0.5000 0.5000
```

Principal peaks in the range 10° ≤ 2θ ≤ 80°, by angle:
| Position (°2θ) | I (rel.) |
| --- | --- |
| 22.72 | 2 |
| 32.34 | 100 |
| 39.89 | 1 |
| 46.39 | 19 |
| 52.26 | 1 |
| 57.69 | 39 |
| 67.70 | 12 |
| 72.43 | 1 |
| 77.04 | 17 |

(5)
The following is a computed X-ray powder pattern of Cs4Pa3PdSe8. It was derived from a structure optimized by DFT (PBE), using Cu Kα (weighted mean of Kα1 and Kα2).
Intensities are scaled so that the largest is 100.

Atomic structure:
```
Cs4Pa3PdSe8
1.0
7.3596 -4.2375 0.0000
7.3596 4.2375 0.0000
-4.9088 0.0000 8.4034
Cs Pa Pd Se
4 3 1 8
Direct
0.0000 0.0000 0.0000
0.0000 0.5000 0.0000
0.5000 0.0000 0.0000
0.5000 0.5000 0.0000
0.0000 0.0000 0.5000
0.0000 0.5000 0.5000
0.5000 0.0000 0.5000
0.5000 0.5000 0.5000
0.2189 0.7320 0.6833
0.2299 0.2299 0.6902
0.2665 0.2665 0.3155
0.2680 0.7811 0.3167
0.7320 0.2189 0.6833
0.7335 0.7335 0.6845
0.7701 0.7701 0.3098
0.7811 0.2680 0.3167
```

Principal peaks in the range 10° ≤ 2θ ≤ 80°, by angle:
| Position (°2θ) | I (rel.) |
| --- | --- |
| 10.53 | 24 |
| 21.14 | 14 |
| 25.24 | 18 |
| 28.11 | 100 |
| 37.60 | 35 |
| 42.61 | 35 |
| 43.53 | 12 |
| 48.04 | 10 |
| 51.87 | 12 |
| 69.22 | 10 |